1.
Diffraction record for K2GePd2. The powder XRD pattern is simulated, not measured: it uses DFT lattice parameters and positions (GGA-PBE) and a wavelength of 1.5418 Å.

The 10 most intense peaks (10° ≤ 2θ ≤ 80°), in order of rising 2θ:
17.50 deg, d = 5.069 Å, intensity 66; 26.38 deg, d = 3.379 Å, intensity 50; 31.28 deg, d = 2.860 Å, intensity 61; 33.35 deg, d = 2.687 Å, intensity 54; 41.16 deg, d = 2.193 Å, intensity 100; 42.16 deg, d = 2.143 Å, intensity 97; 45.04 deg, d = 2.013 Å, intensity 36; 49.55 deg, d = 1.840 Å, intensity 51; 53.95 deg, d = 1.700 Å, intensity 42; 63.03 deg, d = 1.475 Å, intensity 30

Structure:
```
K2GePd2
1.0
2.1929 1.2661 10.1374
-2.1929 1.2661 10.1374
0.0000 -2.5322 10.1374
K Ge Pd
2 1 2
Direct
0.0739 0.0739 0.0739
0.9261 0.9261 0.9261
0.5000 0.5000 0.5000
0.1829 0.1829 0.1829
0.8171 0.8171 0.8171
```

2.
Diffraction record for Bi6Pb5. The powder XRD pattern is simulated, not measured: it uses DFT lattice parameters and positions (GGA-PBE) and a wavelength of 1.5418 Å.

The 10 most intense peaks (10° ≤ 2θ ≤ 80°), in order of rising 2θ:
31.12 deg, d = 2.874 Å, intensity 100; 31.18 deg, d = 2.869 Å, intensity 35; 35.26 deg, d = 2.545 Å, intensity 49; 37.74 deg, d = 2.384 Å, intensity 20; 50.72 deg, d = 1.800 Å, intensity 18; 52.53 deg, d = 1.742 Å, intensity 14; 52.67 deg, d = 1.738 Å, intensity 16; 60.69 deg, d = 1.526 Å, intensity 23; 60.78 deg, d = 1.524 Å, intensity 15; 64.99 deg, d = 1.435 Å, intensity 8

Structure:
```
Bi6Pb5
1.0
6.1792 0.0000 0.0000
0.2506 6.9593 0.0000
0.3723 3.0100 8.6202
Bi Pb
6 5
Direct
0.0050 0.2425 0.0034
0.3120 0.4100 0.6761
0.3172 0.9113 0.6784
0.6828 0.0887 0.3216
0.6880 0.5900 0.3239
0.9950 0.7575 0.9966
0.1777 0.3055 0.3509
0.1997 0.8246 0.3172
0.5000 0.5000 0.0000
0.8003 0.1754 0.6828
0.8223 0.6945 0.6491
```

3.
Diffraction record for RbNaPa2S5. The powder XRD pattern is simulated, not measured: it uses DFT lattice parameters and positions (GGA-PBE) and a wavelength of 1.5418 Å.

The 10 most intense peaks (10° ≤ 2θ ≤ 80°), in order of rising 2θ:
11.52 deg, d = 7.683 Å, intensity 100; 20.07 deg, d = 4.425 Å, intensity 20; 23.16 deg, d = 3.841 Å, intensity 30; 26.01 deg, d = 3.426 Å, intensity 31; 26.68 deg, d = 3.342 Å, intensity 51; 31.43 deg, d = 2.846 Å, intensity 78; 37.14 deg, d = 2.421 Å, intensity 26; 39.40 deg, d = 2.287 Å, intensity 52; 49.31 deg, d = 1.848 Å, intensity 15; 52.05 deg, d = 1.757 Å, intensity 19

Structure:
```
RbNaPa2S5
1.0
-3.8278 3.8278 7.6828
3.8278 -3.8278 7.6828
3.8278 3.8278 -7.6828
Rb Na Pa S
2 2 4 10
Direct
0.2500 0.2500 0.0000
0.7500 0.7500 0.0000
0.2500 0.7500 0.5000
0.7500 0.2500 0.5000
0.1609 0.6609 0.8217
0.3391 0.1609 0.5000
0.6609 0.8391 0.5000
0.8391 0.3391 0.1783
0.0000 0.0000 0.0000
0.0347 0.2418 0.5000
0.2418 0.7418 0.2070
0.2582 0.4653 0.5000
0.4653 0.9653 0.2070
0.5000 0.5000 0.0000
0.5347 0.0347 0.7930
0.7418 0.5347 0.5000
0.7582 0.2582 0.7930
0.9653 0.7582 0.5000
```

4.
Diffraction record for AcBRhO5. The powder XRD pattern is simulated, not measured: it uses DFT lattice parameters and positions (GGA-PBE) and a wavelength of 1.5418 Å.

The 10 most intense peaks (10° ≤ 2θ ≤ 80°), in order of rising 2θ:
18.67 deg, d = 4.751 Å, intensity 91; 24.09 deg, d = 3.694 Å, intensity 78; 25.63 deg, d = 3.476 Å, intensity 44; 27.75 deg, d = 3.215 Å, intensity 100; 29.51 deg, d = 3.027 Å, intensity 83; 33.33 deg, d = 2.688 Å, intensity 95; 40.02 deg, d = 2.253 Å, intensity 31; 42.50 deg, d = 2.127 Å, intensity 42; 49.33 deg, d = 1.848 Å, intensity 33; 52.17 deg, d = 1.753 Å, intensity 32

Structure:
```
AcBRhO5
1.0
3.2676 -4.4998 0.0000
3.2676 4.4998 0.0000
-2.6301 0.0000 6.4687
Ac B Rh O
2 2 2 10
Direct
0.1473 0.8527 0.7500
0.8527 0.1473 0.2500
0.1978 0.8022 0.2500
0.8022 0.1978 0.7500
0.5000 0.5000 0.0000
0.5000 0.5000 0.5000
0.0765 0.2600 0.9108
0.1858 0.6144 0.3708
0.2600 0.0765 0.4108
0.3856 0.8142 0.1292
0.4221 0.5779 0.7500
0.5779 0.4221 0.2500
0.6144 0.1858 0.8708
0.7400 0.9235 0.5892
0.8142 0.3856 0.6292
0.9235 0.7400 0.0892
```